Structure and calculated powder X-ray diffraction pattern of Pm6Pr2HoMg (a structure optimized by DFT (GGA-PBE); copper Kα).
Lines closer than 0.1° are merged.

Peak list (10 most intense, 2θ = 15–90°, sorted by position)
- 27.86°, intensity 23
- 28.29°, intensity 45
- 30.03°, intensity 59
- 30.58°, intensity 41
- 30.93°, intensity 100
- 31.18°, intensity 32
- 32.00°, intensity 21
- 33.77°, intensity 31
- 46.03°, intensity 16
- 58.30°, intensity 15

Structure:
abc: 8.9208 8.9208 9.5695
angles: 93.64 93.64 117.24
Atoms (fractional coordinates):
Pm 0.0019 0.5722 0.1971
Pm 0.1293 0.7646 0.5523
Pm 0.2354 0.8707 0.9477
Pm 0.2880 0.5017 0.3883
Pm 0.4278 0.9981 0.3029
Pm 0.4983 0.7120 0.1117
Pm 0.5017 0.2880 0.8883
Pm 0.5722 0.0019 0.6971
Pm 0.7120 0.4983 0.6117
Pm 0.7646 0.1293 0.0523
Pm 0.8707 0.2354 0.4477
Pm 0.9981 0.4278 0.8029
Pr 0.2068 0.3068 0.0473
Pr 0.3068 0.2068 0.5473
Pr 0.6932 0.7932 0.4527
Pr 0.7932 0.6932 0.9527
Ho 0.0194 0.9806 0.2500
Ho 0.9806 0.0194 0.7500
Mg 0.4110 0.5890 0.7500
Mg 0.5890 0.4110 0.2500


Structure and calculated powder X-ray diffraction pattern of PmPrHo3Mg (a structure optimized by DFT (GGA-PBE); copper Kα).
Lines closer than 0.1° are merged.

Peak list (10 most intense, 2θ = 15–90°, sorted by position)
- 28.34°, intensity 54
- 28.77°, intensity 29
- 29.82°, intensity 100
- 30.30°, intensity 78
- 31.65°, intensity 22
- 31.86°, intensity 24
- 32.77°, intensity 36
- 32.92°, intensity 35
- 37.08°, intensity 24
- 42.28°, intensity 22

Structure:
abc: 10.3660 10.3660 7.0804
angles: 109.60 109.60 33.07
Atoms (fractional coordinates):
Pm 0.1792 0.1792 0.4298
Pm 0.8208 0.8208 0.5702
Pr 0.2000 0.2000 0.9494
Pr 0.8000 0.8000 0.0506
Ho 0.0286 0.0286 0.7788
Ho 0.3583 0.3583 0.3440
Ho 0.3609 0.3609 0.8751
Ho 0.6391 0.6391 0.1249
Ho 0.6417 0.6417 0.6560
Ho 0.9714 0.9714 0.2212
Mg 0.4923 0.4923 0.7351
Mg 0.5077 0.5077 0.2649


Structure and calculated powder X-ray diffraction pattern of Pm2Sm2HoMg (a structure optimized by DFT (GGA-PBE); copper Kα).
Lines closer than 0.1° are merged.

Peak list (10 most intense, 2θ = 15–90°, sorted by position)
- 25.83°, intensity 21
- 31.01°, intensity 100
- 31.27°, intensity 31
- 32.02°, intensity 77
- 33.23°, intensity 42
- 40.79°, intensity 25
- 44.05°, intensity 20
- 46.27°, intensity 22
- 56.28°, intensity 20
- 62.79°, intensity 26

Structure:
abc: 6.8972 10.2403 5.3923
angles: 90.00 90.00 90.00
Atoms (fractional coordinates):
Pm 0.2424 0.1610 0.0000
Pm 0.2576 0.6610 0.5000
Pm 0.7424 0.3390 0.5000
Pm 0.7576 0.8390 0.0000
Sm 0.2419 0.8407 0.0000
Sm 0.2581 0.3407 0.5000
Sm 0.7419 0.6593 0.5000
Sm 0.7581 0.1593 0.0000
Ho 0.0000 0.5000 0.0000
Ho 0.5000 0.0000 0.5000
Mg 0.0000 0.0000 0.5000
Mg 0.5000 0.5000 0.0000


Structure and calculated powder X-ray diffraction pattern of PmSm2HoMg (a structure optimized by DFT (GGA-PBE); copper Kα).
Lines closer than 0.1° are merged.

Peak list (10 most intense, 2θ = 15–90°, sorted by position)
- 17.02°, intensity 17
- 24.51°, intensity 12
- 30.07°, intensity 37
- 30.83°, intensity 100
- 31.24°, intensity 45
- 37.71°, intensity 11
- 39.15°, intensity 16
- 52.70°, intensity 18
- 53.88°, intensity 21
- 54.16°, intensity 12

Structure:
abc: 5.9429 7.4746 7.2639
angles: 90.00 90.00 90.00
Atoms (fractional coordinates):
Pm 0.2500 0.0000 0.1601
Pm 0.7500 0.0000 0.8399
Sm 0.2500 0.2170 0.6891
Sm 0.2500 0.7830 0.6891
Sm 0.7500 0.2170 0.3109
Sm 0.7500 0.7830 0.3109
Ho 0.2500 0.5000 0.3722
Ho 0.7500 0.5000 0.6278
Mg 0.0000 0.5000 0.0000
Mg 0.5000 0.5000 0.0000


Structure and calculated powder X-ray diffraction pattern of Tb2Pm2Ho4Mg (a structure optimized by DFT (GGA-PBE); copper Kα).
Lines closer than 0.1° are merged.

Peak list (10 most intense, 2θ = 15–90°, sorted by position)
- 26.49°, intensity 38
- 30.53°, intensity 57
- 31.35°, intensity 50
- 31.58°, intensity 26
- 31.71°, intensity 54
- 31.90°, intensity 100
- 32.14°, intensity 72
- 33.04°, intensity 56
- 34.06°, intensity 35
- 37.56°, intensity 37

Structure:
abc: 6.5969 6.8929 7.5710
angles: 87.77 73.29 63.08
Atoms (fractional coordinates):
Tb 0.0071 0.1276 0.2806
Tb 0.9929 0.8724 0.7194
Pm 0.4699 0.3296 0.6817
Pm 0.5301 0.6704 0.3183
Ho 0.0963 0.6425 0.1031
Ho 0.4622 0.8449 0.8514
Ho 0.5378 0.1551 0.1486
Ho 0.9037 0.3575 0.8969
Mg 0.0000 0.5000 0.5000


Structure and calculated powder X-ray diffraction pattern of Tb2Pm6HoMg (a structure optimized by DFT (GGA-PBE); copper Kα).
Lines closer than 0.1° are merged.

Peak list (10 most intense, 2θ = 15–90°, sorted by position)
- 27.95°, intensity 35
- 28.56°, intensity 70
- 30.12°, intensity 79
- 30.75°, intensity 73
- 31.20°, intensity 100
- 31.33°, intensity 55
- 31.46°, intensity 56
- 32.40°, intensity 46
- 33.96°, intensity 48
- 38.54°, intensity 29

Structure:
abc: 8.8220 8.8220 9.5389
angles: 93.85 93.85 116.73
Atoms (fractional coordinates):
Tb 0.1980 0.2983 0.4499
Tb 0.2983 0.1980 0.9499
Tb 0.7017 0.8020 0.0501
Tb 0.8020 0.7017 0.5501
Pm 0.0005 0.2076 0.1120
Pm 0.9995 0.7924 0.8880
Pm 0.0674 0.5017 0.6943
Pm 0.2076 0.0005 0.6120
Pm 0.2639 0.6258 0.0513
Pm 0.3742 0.7361 0.4487
Pm 0.4983 0.9326 0.8057
Pm 0.5017 0.0674 0.1943
Pm 0.6258 0.2639 0.5513
Pm 0.7361 0.3742 0.9487
Pm 0.7924 0.9995 0.3880
Pm 0.9326 0.4983 0.3057
Ho 0.4785 0.5215 0.7500
Ho 0.5215 0.4785 0.2500
Mg 0.0894 0.9106 0.2500
Mg 0.9106 0.0894 0.7500


Structure and calculated powder X-ray diffraction pattern of Pm2Ho2Tm2Mg (a structure optimized by DFT (GGA-PBE); copper Kα).
Lines closer than 0.1° are merged.

Peak list (10 most intense, 2θ = 15–90°, sorted by position)
- 25.94°, intensity 46
- 29.61°, intensity 29
- 29.89°, intensity 33
- 30.55°, intensity 36
- 31.08°, intensity 76
- 33.67°, intensity 94
- 33.84°, intensity 100
- 54.73°, intensity 26
- 59.35°, intensity 26
- 60.25°, intensity 31

Structure:
abc: 12.0785 3.6327 11.5119
angles: 90.00 119.04 90.00
Atoms (fractional coordinates):
Pm 0.0266 0.0000 0.2440
Pm 0.4734 0.5000 0.7560
Pm 0.5266 0.5000 0.2440
Pm 0.9734 0.0000 0.7560
Ho 0.1810 0.0000 0.5875
Ho 0.3190 0.5000 0.4125
Ho 0.6810 0.5000 0.5875
Ho 0.8190 0.0000 0.4125
Tm 0.2453 0.0000 0.1264
Tm 0.2547 0.5000 0.8736
Tm 0.7453 0.5000 0.1264
Tm 0.7547 0.0000 0.8736
Mg 0.0000 0.5000 0.0000
Mg 0.5000 0.0000 0.0000


Structure and calculated powder X-ray diffraction pattern of Pr3Ho2Mg3 (a structure optimized by DFT (GGA-PBE); copper Kα).
Lines closer than 0.1° are merged.

Peak list (10 most intense, 2θ = 15–90°, sorted by position)
- 19.75°, intensity 11
- 23.63°, intensity 16
- 25.26°, intensity 24
- 31.47°, intensity 24
- 32.07°, intensity 27
- 32.49°, intensity 100
- 45.55°, intensity 17
- 56.67°, intensity 14
- 57.44°, intensity 20
- 68.04°, intensity 10

Structure:
abc: 3.8171 5.5812 22.7454
angles: 90.00 90.00 90.00
Atoms (fractional coordinates):
Pr 0.0000 0.0000 0.0000
Pr 0.0000 0.5000 0.1263
Pr 0.0000 0.5000 0.8737
Pr 0.5000 0.0000 0.3737
Pr 0.5000 0.0000 0.6263
Pr 0.5000 0.5000 0.5000
Ho 0.0000 0.0000 0.2362
Ho 0.0000 0.0000 0.7638
Ho 0.5000 0.5000 0.2638
Ho 0.5000 0.5000 0.7362
Mg 0.0000 0.0000 0.5000
Mg 0.0000 0.5000 0.3797
Mg 0.0000 0.5000 0.6203
Mg 0.5000 0.0000 0.1203
Mg 0.5000 0.0000 0.8797
Mg 0.5000 0.5000 0.0000